Entry 1:
Sr5Li2Ca5: theoretical powder diffractogram (Cu Kα, 1.54184 Å), based on a cell relaxed with GGA-PBE.
Peak positions follow from Bragg's law for the DFT cell and can differ from measured ones.

a = 6.1146 Å, b = 9.6958 Å, c = 10.2772 Å
α = 68.67°, β = 72.76°, γ = 71.79°
Space group P-1 (No. 2)
Unique sites:
Sr1 0.0000 0.0000 0.0000 [1 per cell]
Sr2 0.1066 0.5734 0.2136 [2 per cell]
Sr3 0.1651 0.1622 0.5079 [2 per cell]
Li1 0.3471 0.2956 0.0096 [2 per cell]
Ca1 0.2492 0.7265 0.7760 [2 per cell]
Ca2 0.4251 0.9178 0.2321 [2 per cell]
Ca3 0.5000 0.5000 0.5000 [1 per cell]

Most intense lines, 5 to 70 degrees two-theta, by angle:
h k l  two_theta  intensity
1 1 1  15.61  332
1 2 -1  27.91  1000
1 2 3  28.20  900
0 3 1  29.09  456
2 1 1  29.21  469
3 3 4  51.17  240

Entry 2:
Sr4MnN4: theoretical powder diffractogram (Cu Kα, 1.54184 Å), based on a cell relaxed with GGA-PBE.
Peak positions follow from Bragg's law for the DFT cell and can differ from measured ones.

a = 11.7625 Å, b = 5.2584 Å, c = 11.5624 Å
α = 90.00°, β = 90.00°, γ = 90.00°
Space group Pnma (No. 62)
Unique sites:
Sr1 0.0553 0.2500 0.1104 [4 per cell]
Sr2 0.0923 0.7500 0.3168 [4 per cell]
Sr3 0.1368 0.7500 0.6630 [4 per cell]
Sr4 0.2280 0.2500 0.4755 [4 per cell]
Mn1 0.1355 0.2500 0.8519 [4 per cell]
N1 0.0036 0.7500 0.1096 [4 per cell]
N2 0.0695 0.2500 0.3339 [4 per cell]
N3 0.1788 0.2500 0.7105 [4 per cell]
N4 0.2329 0.2500 0.9696 [4 per cell]

Most intense lines, 5 to 70 degrees two-theta, by angle:
h k l  two_theta  intensity
2 1 2  27.49  266
3 1 1  29.45  829
1 1 3  29.73  1000
4 0 1  31.39  257
3 1 2  32.42  295
0 2 0  34.10  780

Entry 3:
Ba2Tl5Bi3: theoretical powder diffractogram (Cu Kα, 1.54184 Å), based on a cell relaxed with GGA-PBE.
Peak positions follow from Bragg's law for the DFT cell and can differ from measured ones.

a = 5.0614 Å, b = 5.0614 Å, c = 14.4270 Å
α = 90.00°, β = 90.00°, γ = 90.00°
Space group P-4m2 (No. 115)
Unique sites:
Ba1 0.0000 0.5000 0.2401 [2 per cell]
Tl1 0.0000 0.0000 0.0000 [1 per cell]
Tl2 0.0000 0.0000 0.5000 [1 per cell]
Tl3 0.0000 0.5000 0.8690 [2 per cell]
Tl4 0.5000 0.5000 0.0000 [1 per cell]
Bi1 0.0000 0.5000 0.6571 [2 per cell]
Bi2 0.5000 0.5000 0.5000 [1 per cell]

Most intense lines, 5 to 70 degrees two-theta, by angle:
h k l  two_theta  intensity
1 0 3  25.55  269
1 1 2  27.83  1000
1 1 4  35.33  516
2 0 0  35.47  596
1 0 5  35.82  318
3 1 2  59.13  249

Entry 4:
RbGeB: theoretical powder diffractogram (Cu Kα, 1.54184 Å), based on a cell relaxed with GGA-PBE.
Peak positions follow from Bragg's law for the DFT cell and can differ from measured ones.

a = 4.8899 Å, b = 5.2829 Å, c = 7.9841 Å
α = 109.29°, β = 107.79°, γ = 90.02°
Space group P-1 (No. 2)
Unique sites:
Rb1 0.1410 0.1407 0.2822 [2 per cell]
Ge1 0.4107 0.4110 0.8210 [2 per cell]
B1 0.1621 0.5000 0.0000 [2 per cell]

Most intense lines, 5 to 70 degrees two-theta, by angle:
h k l  two_theta  intensity
1 1 -1  24.81  1000
0 0 2  24.98  276
0 1 1  25.20  234
0 2 -1  33.94  259
1 1 -3  35.49  543
2 0 -1  36.76  180

Entry 5:
BaMg10Cd2: theoretical powder diffractogram (Cu Kα, 1.54184 Å), based on a cell relaxed with GGA-PBE.
Peak positions follow from Bragg's law for the DFT cell and can differ from measured ones.

a = 6.0106 Å, b = 7.9468 Å, c = 7.9623 Å
α = 81.83°, β = 67.86°, γ = 67.98°
Space group P-1 (No. 2)
Unique sites:
Ba1 0.0000 0.0000 0.0000 [1 per cell]
Mg1 0.0000 0.5000 0.0000 [1 per cell]
Mg2 0.0049 0.3522 0.6414 [2 per cell]
Mg3 0.2780 0.2199 0.2262 [2 per cell]
Mg4 0.3530 0.6471 0.6415 [2 per cell]
Mg5 0.4958 0.7814 0.2252 [2 per cell]
Mg6 0.5000 0.5000 0.0000 [1 per cell]
Cd1 0.0000 0.0000 0.5000 [1 per cell]
Cd2 0.5000 0.0000 0.5000 [1 per cell]

Most intense lines, 5 to 70 degrees two-theta, by angle:
h k l  two_theta  intensity
0 1 0  12.01  717
0 0 2  24.15  555
0 1 2  27.04  265
0 2 2  34.41  1000
2 2 2  34.49  353
0 0 4  49.45  284

Entry 6:
CaCdInSn: theoretical powder diffractogram (Cu Kα, 1.54184 Å), based on a cell relaxed with GGA-PBE.
Peak positions follow from Bragg's law for the DFT cell and can differ from measured ones.

a = 4.6058 Å, b = 4.6284 Å, c = 4.8545 Å
α = 90.00°, β = 90.00°, γ = 90.00°
Space group Pmmm (No. 47)
Unique sites:
Ca1 0.0000 0.0000 0.0000 [1 per cell]
Cd1 0.0000 0.5000 0.5000 [1 per cell]
In1 0.5000 0.0000 0.5000 [1 per cell]
Sn1 0.5000 0.5000 0.0000 [1 per cell]

Most intense lines, 5 to 70 degrees two-theta, by angle:
h k l  two_theta  intensity
1 1 1  33.07  1000
0 0 2  37.04  183
0 2 0  38.92  159
2 0 0  39.12  157
1 1 3  64.24  141
1 3 1  66.79  125